Entry 1:
This entry pairs a crystal structure of Y3W2 with its simulated PXRD pattern. Radiation: λ = 1.5418 Å (Cu Kα). Structure: the PBE geometry in Alexandria.
Lines closer than 0.1° are merged.

a = 3.324 Å, b = 3.324 Å, c = 22.481 Å
α = 90.00°, β = 90.00°, γ = 90.00°
Space group I4/mmm (No. 139)
Asymmetric unit:
Y (0.000, 0.000, 0.000) [2 per cell]
Y (0.000, 0.000, 0.370) [4 per cell]
W (0.000, 0.000, 0.221) [4 per cell]

Principal peaks in the range 2θ = 10–90°, by intensity:
d/Å, 2theta, intensity, h k l
2.673, 33.53, 100, 1 0 5
2.350, 38.29, 60, 1 1 0
2.310, 39.00, 48, 1 0 7
1.411, 66.22, 28, 2 1 5
1.997, 45.42, 25, 1 0 9
5.620, 15.77, 21, 0 0 4

=====

Entry 2:
This entry pairs a crystal structure of Zn5W with its simulated PXRD pattern. Radiation: λ = 1.5418 Å (Cu Kα). Structure: the PBE geometry in Alexandria.
Lines closer than 0.1° are merged.

a = 10.143 Å, b = 2.733 Å, c = 6.721 Å
α = 90.00°, β = 105.72°, γ = 90.00°
Space group Cm (No. 8)
Asymmetric unit:
Zn (0.000, 0.000, 0.000) [2 per cell]
Zn (0.060, 0.000, 0.609) [2 per cell]
Zn (0.166, 0.500, 0.321) [2 per cell]
Zn (0.226, 0.500, 0.933) [2 per cell]
Zn (0.388, 0.000, 0.280) [2 per cell]
W (0.333, 0.000, 0.654) [2 per cell]

Principal peaks in the range 2θ = 10–90°, by intensity:
d/Å, 2theta, intensity, h k l
2.119, 42.67, 100, 1 1 -2
2.093, 43.22, 97, 3 1 0
2.266, 39.78, 83, 4 0 -2
2.103, 43.01, 59, 4 0 1
2.378, 37.83, 58, 1 1 1
2.157, 41.89, 57, 0 0 3

=====

Entry 3:
This entry pairs a crystal structure of Zn4W5 with its simulated PXRD pattern. Radiation: λ = 1.5418 Å (Cu Kα). Structure: the PBE geometry in Alexandria.
Lines closer than 0.1° are merged.

a = 7.6990 Å, b = 7.6990 Å, c = 5.2603 Å
α = 90.00°, β = 90.00°, γ = 120.00°
Space group P6_3/mcm (No. 193)
Asymmetric unit:
Zn (0.0000, 0.0000, 0.0000) [2 per cell]
Zn (0.0000, 0.3749, 0.2500) [6 per cell]
W (0.0000, 0.2916, 0.7500) [6 per cell]
W (0.3333, 0.6667, 0.0000) [4 per cell]

Principal peaks in the range 2θ = 10–90°, by intensity:
d/Å, 2theta, intensity, h k l
2.172, 41.59, 100, 1 1 2
2.223, 40.59, 94, 3 0 0
3.107, 28.74, 31, 1 1 1
2.273, 39.66, 30, 2 1 1
1.553, 59.51, 30, 2 2 2
1.273, 74.54, 26, 4 1 2

=====

Entry 4:
This entry pairs a crystal structure of ZrZnW2 with its simulated PXRD pattern. Radiation: λ = 1.5418 Å (Cu Kα). Structure: the PBE geometry in Alexandria.
Lines closer than 0.1° are merged.

a = 3.280 Å, b = 4.503 Å, c = 9.304 Å
α = 90.00°, β = 90.00°, γ = 90.00°
Space group Cmm2 (No. 35)
Asymmetric unit:
Zr (0.000, 0.000, 0.000) [2 per cell]
Zn (0.000, 0.500, 0.265) [2 per cell]
W (0.000, 0.000, 0.502) [2 per cell]
W (0.000, 0.500, 0.736) [2 per cell]

Principal peaks in the range 2θ = 10–90°, by intensity:
d/Å, 2theta, intensity, h k l
2.303, 39.11, 100, 1 1 2
2.326, 38.71, 25, 0 0 4
2.251, 40.05, 24, 0 2 0
1.310, 72.12, 16, 1 3 2
1.618, 56.92, 16, 0 2 4
1.339, 70.33, 16, 1 1 6

=====

Entry 5:
This entry pairs a crystal structure of ZrW2 with its simulated PXRD pattern. Radiation: λ = 1.5418 Å (Cu Kα). Structure: the PBE geometry in Alexandria.
Lines closer than 0.1° are merged.

a = 7.657 Å, b = 7.657 Å, c = 7.657 Å
α = 90.00°, β = 90.00°, γ = 90.00°
Space group Fd-3m (No. 227, origin choice 2)
Asymmetric unit:
Zr (0.125, 0.125, 0.125) [8 per cell]
W (0.000, 0.000, 0.500) [16 per cell]

Principal peaks in the range 2θ = 10–90°, by intensity:
d/Å, 2theta, intensity, h k l
2.309, 39.02, 100, 3 1 1
2.210, 40.83, 63, 2 2 2
4.421, 20.09, 38, 1 1 1
1.474, 63.09, 33, 5 1 1
1.354, 69.44, 31, 4 4 0
1.154, 83.81, 25, 6 2 2

=====

Entry 6:
This entry pairs a crystal structure of Zr7W with its simulated PXRD pattern. Radiation: λ = 1.5418 Å (Cu Kα). Structure: the PBE geometry in Alexandria.
Lines closer than 0.1° are merged.

a = 8.904 Å, b = 8.904 Å, c = 8.904 Å
α = 90.00°, β = 90.00°, γ = 90.00°
Space group Fm-3m (No. 225)
Asymmetric unit:
Zr (0.000, 0.000, 0.000) [4 per cell]
Zr (0.000, 0.250, 0.250) [24 per cell]
W (0.000, 0.000, 0.500) [4 per cell]

Principal peaks in the range 2θ = 10–90°, by intensity:
d/Å, 2theta, intensity, h k l
2.570, 34.91, 100, 2 2 2
2.226, 40.53, 49, 4 0 0
1.342, 70.11, 38, 6 2 2
1.574, 58.65, 33, 4 4 0
1.285, 73.72, 11, 4 4 4
5.141, 17.25, 6, 1 1 1

=====

Entry 7:
This entry pairs a crystal structure of Zr3W2 with its simulated PXRD pattern. Radiation: λ = 1.5418 Å (Cu Kα). Structure: the PBE geometry in Alexandria.
Lines closer than 0.1° are merged.

a = 5.420 Å, b = 10.151 Å, c = 14.416 Å
α = 90.00°, β = 90.00°, γ = 90.00°
Space group Fddd (No. 70, origin choice 2)
Asymmetric unit:
Zr (0.125, 0.125, 0.021) [16 per cell]
Zr (0.125, 0.125, 0.625) [8 per cell]
W (0.125, 0.125, 0.420) [16 per cell]

Principal peaks in the range 2θ = 10–90°, by intensity:
d/Å, 2theta, intensity, h k l
2.469, 36.39, 100, 1 1 5
2.391, 37.63, 91, 2 2 0
2.538, 35.37, 61, 0 4 0
2.034, 44.54, 55, 1 3 5
1.587, 58.12, 25, 1 5 5
4.150, 21.41, 24, 0 2 2

=====

Entry 8:
This entry pairs a crystal structure of Xe with its simulated PXRD pattern. Radiation: λ = 1.5418 Å (Cu Kα). Structure: the PBE geometry in Alexandria.
Lines closer than 0.1° are merged.

a = 5.426 Å, b = 5.426 Å, c = 5.426 Å
α = 90.00°, β = 90.00°, γ = 90.00°
Space group Im-3m (No. 229)
Asymmetric unit:
Xe (0.000, 0.000, 0.000) [2 per cell]

Principal peaks in the range 2θ = 10–90°, by intensity:
d/Å, 2theta, intensity, h k l
3.837, 23.18, 100, 1 1 0
2.215, 40.73, 44, 2 1 1
1.450, 64.23, 23, 3 2 1
2.713, 33.02, 20, 2 0 0
1.716, 53.39, 20, 3 1 0
1.918, 47.39, 14, 2 2 0

=====

Entry 9:
This entry pairs a crystal structure of Xe with its simulated PXRD pattern. Radiation: λ = 1.5418 Å (Cu Kα). Structure: the PBE geometry in Alexandria.
Lines closer than 0.1° are merged.

a = 8.194 Å, b = 4.747 Å, c = 12.090 Å
α = 90.00°, β = 103.07°, γ = 90.00°
Space group C2/m (No. 12)
Asymmetric unit:
Xe (0.000, 0.000, 0.000) [2 per cell]
Xe (0.222, 0.000, 0.667) [4 per cell]

Principal peaks in the range 2θ = 10–90°, by intensity:
d/Å, 2theta, intensity, h k l
3.722, 23.91, 100, 1 1 1
3.549, 25.09, 88, 1 1 -2
3.925, 22.65, 53, 0 0 3
2.369, 37.97, 41, 0 2 0
4.077, 21.80, 35, 2 0 -1
2.027, 44.70, 34, 3 1 2

=====

Entry 10:
This entry pairs a crystal structure of Xe with its simulated PXRD pattern. Radiation: λ = 1.5418 Å (Cu Kα). Structure: the PBE geometry in Alexandria.
Lines closer than 0.1° are merged.

a = 4.7133 Å, b = 4.7133 Å, c = 15.7272 Å
α = 90.00°, β = 90.00°, γ = 120.00°
Space group P6_3/mmc (No. 194)
Asymmetric unit:
Xe (0.0000, 0.0000, 0.0000) [2 per cell]
Xe (0.3333, 0.6667, 0.2500) [2 per cell]

Principal peaks in the range 2θ = 10–90°, by intensity:
d/Å, 2theta, intensity, h k l
3.623, 24.57, 100, 1 0 2
3.951, 22.50, 41, 1 0 1
2.022, 44.83, 41, 1 1 4
3.932, 22.61, 36, 0 0 4
2.357, 38.19, 27, 1 1 0
2.206, 40.92, 25, 1 0 6

=====

Entry 11:
This entry pairs a crystal structure of Xe with its simulated PXRD pattern. Radiation: λ = 1.5418 Å (Cu Kα). Structure: the PBE geometry in Alexandria.
Lines closer than 0.1° are merged.

a = 8.371 Å, b = 16.382 Å, c = 4.937 Å
α = 90.00°, β = 90.00°, γ = 90.00°
Space group Cmce (No. 64)
Asymmetric unit:
Xe (0.000, 0.133, 0.002) [8 per cell]

Principal peaks in the range 2θ = 10–90°, by intensity:
d/Å, 2theta, intensity, h k l
4.116, 21.59, 100, 1 1 1
3.355, 26.57, 87, 1 3 1
4.186, 21.23, 58, 2 0 0
4.096, 21.70, 53, 0 4 0
2.927, 30.54, 44, 2 4 0
2.050, 44.18, 34, 0 8 0

=====

Entry 12:
This entry pairs a crystal structure of Y with its simulated PXRD pattern. Radiation: λ = 1.5418 Å (Cu Kα). Structure: the PBE geometry in Alexandria.
Lines closer than 0.1° are merged.

a = 3.6036 Å, b = 3.6036 Å, c = 34.4887 Å
α = 90.00°, β = 90.00°, γ = 120.00°
Space group R-3m (No. 166, hexagonal axes)
Asymmetric unit:
Y (0.0000, 0.0000, 0.1254) [6 per cell]
Y (0.0000, 0.0000, 0.2913) [6 per cell]

Principal peaks in the range 2θ = 10–90°, by intensity:
d/Å, 2theta, intensity, h k l
2.843, 31.46, 100, 0 1 5
2.636, 34.01, 84, 1 0 7
2.874, 31.12, 50, 0 0 12
1.527, 60.66, 42, 1 1 12
1.802, 50.66, 37, 1 1 0
3.071, 29.08, 34, 0 1 2

=====

Entry 13:
This entry pairs a crystal structure of Y2Zn17 with its simulated PXRD pattern. Radiation: λ = 1.5418 Å (Cu Kα). Structure: the PBE geometry in Alexandria.
Lines closer than 0.1° are merged.

a = 8.9694 Å, b = 8.9694 Å, c = 8.7803 Å
α = 90.00°, β = 90.00°, γ = 120.00°
Space group P6_3/mmc (No. 194)
Asymmetric unit:
Y (0.0000, 0.0000, 0.2500) [2 per cell]
Y (0.3333, 0.6667, 0.2500) [2 per cell]
Zn (0.0000, 0.5000, 0.0000) [6 per cell]
Zn (0.0383, 0.3674, 0.7500) [12 per cell]
Zn (0.1617, 0.3235, 0.0213) [12 per cell]
Zn (0.3333, 0.6667, 0.6005) [4 per cell]

Principal peaks in the range 2θ = 10–90°, by intensity:
d/Å, 2theta, intensity, h k l
2.230, 40.44, 100, 3 0 2
1.997, 45.42, 63, 2 2 2
2.242, 40.22, 61, 2 2 0
2.337, 38.52, 42, 2 0 3
2.195, 41.12, 36, 0 0 4
2.589, 34.64, 34, 3 0 0

=====

Entry 14:
This entry pairs a crystal structure of Y6Zn5 with its simulated PXRD pattern. Radiation: λ = 1.5418 Å (Cu Kα). Structure: the PBE geometry in Alexandria.
Lines closer than 0.1° are merged.

a = 5.021 Å, b = 7.159 Å, c = 15.002 Å
α = 90.00°, β = 90.00°, γ = 90.00°
Space group Immm (No. 71)
Asymmetric unit:
Y (0.000, 0.248, 0.164) [8 per cell]
Y (0.000, 0.251, 0.500) [4 per cell]
Zn (0.000, 0.000, 0.331) [4 per cell]
Zn (0.000, 0.500, 0.000) [2 per cell]
Zn (0.000, 0.500, 0.328) [4 per cell]

Principal peaks in the range 2θ = 10–90°, by intensity:
d/Å, 2theta, intensity, h k l
2.518, 35.65, 100, 1 2 3
2.510, 35.77, 25, 2 0 0
2.500, 35.92, 24, 0 0 6
1.456, 63.92, 17, 2 4 0
1.451, 64.20, 17, 3 2 3
1.772, 51.59, 17, 2 0 6